[1]
Starting from a cell relaxed with PBE, the X-ray diffraction stick pattern of PmSm4Al4 was simulated for λ = 1.5418 Å (Cu Kα).
Kinematic intensities with the Lorentz-polarization factor, no thermal factor.

Crystal structure
```
data_PmSm4Al4
_cell_length_a 7.277
_cell_length_b 7.277
_cell_length_c 10.252
_cell_angle_alpha 90.00
_cell_angle_beta 90.00
_cell_angle_gamma 90.00
_symmetry_space_group_name_H-M 'P 42/n m c'
_symmetry_Int_Tables_number 137
loop_
_symmetry_equiv_pos_as_xyz
'x,y,z'
'-x,-y,-z'
'-y+1/2,x,z+1/2'
'y+1/2,-x,-z+1/2'
'-x+1/2,-y+1/2,z'
'x+1/2,y+1/2,-z'
'y,-x+1/2,z+1/2'
'-y,x+1/2,-z+1/2'
'x+1/2,-y,-z'
'-x+1/2,y,z'
'-y,-x,-z+1/2'
'y,x,z+1/2'
'-x,y+1/2,-z'
'x,-y+1/2,z'
'y+1/2,x+1/2,-z+1/2'
'-y+1/2,-x+1/2,z+1/2'
loop_
_atom_site_label
_atom_site_type_symbol
_atom_site_fract_x
_atom_site_fract_y
_atom_site_fract_z
_atom_site_occupancy
Pm1 Pm 0.250 0.750 0.250 1
Sm1 Sm 0.005 0.250 0.135 1
Al1 Al 0.068 0.250 0.431 1
```

Peak list (10 most intense, 2θ from 5° to 70°, sorted by position)
- 2θ 21.20, I = 29, (1 0 2)
- 2θ 24.50, I = 15, (1 1 2)
- 2θ 25.99, I = 29, (2 0 1)
- 2θ 28.80, I = 100, (2 1 1)
- 2θ 32.59, I = 25, (2 1 2)
- 2θ 34.87, I = 19, (2 2 0)
- 2θ 36.06, I = 34, (2 0 3)
- 2θ 45.85, I = 27, (3 0 3)
- 2θ 50.14, I = 15, (4 0 0)
- 2θ 50.25, I = 26, (2 2 4)



[2]
Starting from a cell relaxed with PBE, the X-ray diffraction stick pattern of RbSc6Te8 was simulated for λ = 1.5418 Å (Cu Kα).
Kinematic intensities with the Lorentz-polarization factor, no thermal factor.

Crystal structure
```
data_RbSc6Te8
_cell_length_a 11.1654
_cell_length_b 11.1654
_cell_length_c 4.2186
_cell_angle_alpha 90.00
_cell_angle_beta 90.00
_cell_angle_gamma 120.00
_symmetry_space_group_name_H-M 'P -3'
_symmetry_Int_Tables_number 147
loop_
_symmetry_equiv_pos_as_xyz
'x,y,z'
'-x,-y,-z'
'-y,x-y,z'
'y,-x+y,-z'
'-x+y,-x,z'
'x-y,x,-z'
loop_
_atom_site_label
_atom_site_type_symbol
_atom_site_fract_x
_atom_site_fract_y
_atom_site_fract_z
_atom_site_occupancy
Rb1 Rb 0.0000 0.0000 0.0000 1
Sc1 Sc 0.1362 0.4886 0.2486 1
Te1 Te 0.0450 0.6939 0.2521 1
Te2 Te 0.3333 0.6667 0.7491 1
```

Peak list (10 most intense, 2θ from 5° to 70°, sorted by position)
- 2θ 9.15, I = 25, (1 0 0)
- 2θ 26.48, I = 77, (1 1 1)
- 2θ 27.68, I = 100, (3 0 0)
- 2θ 28.07, I = 51, (0 2 1)
- 2θ 32.41, I = 53, (2 1 1)
- 2θ 33.41, I = 25, (3 1 0)
- 2θ 38.68, I = 55, (4 -2 1)
- 2θ 42.87, I = 23, (0 0 2)
- 2θ 46.24, I = 45, (3 2 1)
- 2θ 51.80, I = 23, (3 0 2)



[3]
Starting from a cell relaxed with PBE, the X-ray diffraction stick pattern of FeCu2As was simulated for λ = 1.5418 Å (Cu Kα).
Kinematic intensities with the Lorentz-polarization factor, no thermal factor.

Crystal structure
```
data_FeCu2As
_cell_length_a 3.574
_cell_length_b 3.574
_cell_length_c 8.157
_cell_angle_alpha 90.00
_cell_angle_beta 90.00
_cell_angle_gamma 90.00
_symmetry_space_group_name_H-M 'I 4/m m m'
_symmetry_Int_Tables_number 139
_symmetry_space_group_name_Hall '-I 4 2'
loop_
_atom_site_label
_atom_site_type_symbol
_atom_site_fract_x
_atom_site_fract_y
_atom_site_fract_z
_atom_site_occupancy
Fe1 Fe 0.000 0.000 0.000 1
Cu1 Cu 0.000 0.500 0.250 1
As1 As 0.000 0.000 0.500 1
```

Peak list (4 most intense, 2θ from 5° to 70°, sorted by position)
- 2θ 27.24, I = 1, (1 0 1)
- 2θ 42.06, I = 100, (1 1 2)
- 2θ 44.43, I = 21, (0 0 4)
- 2θ 51.12, I = 27, (2 0 0)



Repeat the third record exactly.
Starting from a cell relaxed with PBE, the X-ray diffraction stick pattern of FeCu2As was simulated for λ = 1.5418 Å (Cu Kα).
Kinematic intensities with the Lorentz-polarization factor, no thermal factor.

Crystal structure
```
data_FeCu2As
_cell_length_a 3.574
_cell_length_b 3.574
_cell_length_c 8.157
_cell_angle_alpha 90.00
_cell_angle_beta 90.00
_cell_angle_gamma 90.00
_symmetry_space_group_name_H-M 'I 4/m m m'
_symmetry_Int_Tables_number 139
_symmetry_space_group_name_Hall '-I 4 2'
loop_
_atom_site_label
_atom_site_type_symbol
_atom_site_fract_x
_atom_site_fract_y
_atom_site_fract_z
_atom_site_occupancy
Fe1 Fe 0.000 0.000 0.000 1
Cu1 Cu 0.000 0.500 0.250 1
As1 As 0.000 0.000 0.500 1
```

Peak list (4 most intense, 2θ from 5° to 70°, sorted by position)
- 2θ 27.24, I = 1, (1 0 1)
- 2θ 42.06, I = 100, (1 1 2)
- 2θ 44.43, I = 21, (0 0 4)
- 2θ 51.12, I = 27, (2 0 0)



Question: What is the formula in the first record?
Answer: PmSm4Al4



Question: Which formula does entry 3 have?
Answer: FeCu2As